1.
Starting from a DFT-relaxed cell (GGA-PBE, OQMD), the powder XRD pattern of LaGa2Pd2Pt was computed for Cu Kα X-rays.

Main lines, by angle (10° ≤ 2θ ≤ 90°):
18.12 deg, I = 206, hkl 1 1 0; 28.59 deg, I = 567, hkl 1 1 1; 36.70 deg, I = 711, hkl 2 2 0; 38.83 deg, I = 1000, hkl 1 3 1; 43.16 deg, I = 484, hkl 0 4 1; 44.71 deg, I = 293, hkl 0 0 2; 59.18 deg, I = 356, hkl 2 2 2; 61.22 deg, I = 259, hkl 3 3 1; 66.10 deg, I = 270, hkl 4 0 0; 83.35 deg, I = 284, hkl 4 0 2

Lattice parameters (Å, degrees): 5.6529 9.7965 4.0539 90.00 90.00 90.00
Space group Cmmm (No. 65)
Unique sites:
La1 0.0000 0.0000 0.0000 (multiplicity 2)
Ga1 0.0000 0.3335 0.0000 (multiplicity 4)
Pd1 0.2500 0.2500 0.5000 (multiplicity 4)
Pt1 0.0000 0.5000 0.5000 (multiplicity 2)

***

2.
Starting from a DFT-relaxed cell (GGA-PBE, OQMD), the powder XRD pattern of La2GaSnPd4 was computed for Cu Kα X-rays.

Main lines, by angle (10° ≤ 2θ ≤ 90°):
22.38 deg, I = 122, hkl 1 0 0; 29.27 deg, I = 199, hkl 1 0 2; 36.21 deg, I = 1000, hkl 1 0 3; 39.28 deg, I = 881, hkl 1 1 0; 54.48 deg, I = 305, hkl 0 2 3; 63.03 deg, I = 151, hkl 0 1 6; 69.20 deg, I = 293, hkl 2 1 3; 71.20 deg, I = 150, hkl 3 0 0; 84.47 deg, I = 96, hkl 2 2 0; 89.90 deg, I = 119, hkl 1 2 6

Lattice parameters (Å, degrees): 4.5877 4.5877 9.5297 90.00 90.00 120.00
Space group P-3m1 (No. 164)
Unique sites:
La1 0.3333 0.6667 0.2541 (multiplicity 2)
Ga1 0.0000 0.0000 0.5000 (multiplicity 1)
Sn1 0.0000 0.0000 0.0000 (multiplicity 1)
Pd1 0.3333 0.6667 0.5691 (multiplicity 2)
Pd2 0.3333 0.6667 0.9206 (multiplicity 2)

***

3.
Starting from a DFT-relaxed cell (GGA-PBE, OQMD), the powder XRD pattern of LaPm2Ga6 was computed for Cu Kα X-rays.

Main lines, by angle (10° ≤ 2θ ≤ 90°):
26.15 deg, I = 470, hkl 1 1 1; 27.81 deg, I = 902, hkl 3 1 -1; 33.19 deg, I = 1000, hkl 3 1 -2; 33.80 deg, I = 555, hkl 2 0 2; 36.78 deg, I = 254, hkl 2 0 -3; 39.17 deg, I = 815, hkl 5 1 0; 40.57 deg, I = 542, hkl 0 2 0; 43.04 deg, I = 231, hkl 1 1 -3; 53.80 deg, I = 292, hkl 2 2 2; 55.94 deg, I = 419, hkl 2 2 -3

Lattice parameters (Å, degrees): 14.5209 4.4473 7.3378 90.00 112.30 90.00
Space group C2 (No. 5)
Unique sites:
La1 0.0000 0.0000 0.0000 (multiplicity 2)
Pm1 0.2313 0.9993 0.7954 (multiplicity 4)
Ga1 0.0896 0.4996 0.7967 (multiplicity 4)
Ga2 0.0971 0.4986 0.4363 (multiplicity 4)
Ga3 0.1864 0.9990 0.3658 (multiplicity 4)